Entry 1:
This entry pairs a crystal structure of Dy8Er4Tm3 with its computed X-ray powder pattern. Radiation: Cu Kα (weighted mean of Kα1 and Kα2). Structure: DFT lattice parameters and positions (GGA-PBE).

Largest 8 diffraction maxima, low angle first, 2θ = 10–90°:
| two_theta | Rel. int. | index |
| --- | --- | --- |
| 27.1 | 18 | 1 1 3 |
| 30.3 | 29 | 0 2 1 |
| 30.7 | 57 | 0 0 12 |
| 31.9 | 100 | 0 2 4 |
| 36.6 | 73 | 2 0 8 |
| 52.1 | 23 | 0 2 16 |
| 53.5 | 38 | 2 2 0 |
| 63.0 | 46 | 2 2 12 |

Structural model:
a b c (Å): 6.8496 6.8496 34.8948
angles (deg): 90.00 90.00 120.00
Space group R-3m (No. 166, hexagonal axes)
Unique sites:
Dy1 0.0000 0.0000 0.2447
Dy2 0.0017 0.5008 0.7505
Er1 0.0000 0.0000 0.0000
Er2 0.0000 0.0000 0.3361
Er3 0.0000 0.0000 0.5000
Tm1 0.0000 0.5000 0.5000

***

Entry 2:
This entry pairs a crystal structure of LaDy2Sn with its computed X-ray powder pattern. Radiation: Cu Kα (weighted mean of Kα1 and Kα2). Structure: DFT lattice parameters and positions (GGA-PBE).

Largest 8 diffraction maxima, low angle first, 2θ = 10–90°:
| two_theta | Rel. int. | index |
| --- | --- | --- |
| 29.0 | 81 | 1 1 -2 |
| 31.6 | 31 | 0 0 4 |
| 33.2 | 100 | 1 1 2 |
| 37.5 | 30 | 0 2 0 |
| 38.0 | 29 | 2 0 -1 |
| 49.9 | 17 | 0 2 4 |
| 50.3 | 17 | 2 0 -5 |
| 54.5 | 20 | 2 2 -1 |

Structural model:
a b c (Å): 4.7355 4.7909 11.5571
angles (deg): 90.00 101.78 90.00
Space group P2_1/m (No. 11)
Unique sites:
La1 0.1928 0.2500 0.3864
Dy1 0.0567 0.7500 0.1135
Dy2 0.4372 0.7500 0.8743
Sn1 0.3403 0.2500 0.6798

***

Entry 3:
This entry pairs a crystal structure of Tm5NiS4 with its computed X-ray powder pattern. Radiation: Cu Kα (weighted mean of Kα1 and Kα2). Structure: DFT lattice parameters and positions (GGA-PBE).

Largest 8 diffraction maxima, low angle first, 2θ = 10–90°:
| two_theta | Rel. int. | index |
| --- | --- | --- |
| 27.9 | 57 | 2 0 -3 |
| 28.6 | 54 | 1 1 1 |
| 32.6 | 51 | 2 0 2 |
| 32.8 | 100 | 3 1 -2 |
| 46.1 | 19 | 6 0 -4 |
| 46.9 | 72 | 1 1 -4 |
| 55.2 | 17 | 5 1 -5 |
| 59.3 | 18 | 2 2 2 |

Structural model:
a b c (Å): 13.0453 3.7850 9.5953
angles (deg): 90.00 120.13 90.00
Space group C2/m (No. 12)
Unique sites:
Tm1 0.0000 0.0000 0.0000
Tm2 0.0939 0.5000 0.4049
Tm3 0.1943 0.0000 0.7918
Ni1 0.0000 0.0000 0.5000
S1 0.1045 0.5000 0.9106
S2 0.1961 0.0000 0.2977

***

Entry 4:
This entry pairs a crystal structure of K3NpBr8 with its computed X-ray powder pattern. Radiation: Cu Kα (weighted mean of Kα1 and Kα2). Structure: DFT lattice parameters and positions (GGA-PBE).

Largest 8 diffraction maxima, low angle first, 2θ = 10–90°:
| two_theta | Rel. int. | index |
| --- | --- | --- |
| 11.7 | 57 | 1 0 0 |
| 16.6 | 25 | 1 1 0 |
| 20.3 | 34 | 1 1 1 |
| 33.5 | 100 | 2 2 0 |
| 35.6 | 16 | 2 2 1 |
| 39.5 | 17 | 3 1 1 |
| 43.1 | 26 | 3 2 0 |
| 59.9 | 27 | 4 2 2 |

Structural model:
a b c (Å): 7.5612 7.5612 7.5612
angles (deg): 90.00 90.00 90.00
Space group Pm-3m (No. 221)
Unique sites:
K1 0.0000 0.0000 0.5000
Np1 0.5000 0.5000 0.5000
Br1 0.2760 0.2760 0.2760

***

Entry 5:
This entry pairs a crystal structure of La5Nd2Sm2 with its computed X-ray powder pattern. Radiation: Cu Kα (weighted mean of Kα1 and Kα2). Structure: DFT lattice parameters and positions (GGA-PBE).

Largest 8 diffraction maxima, low angle first, 2θ = 10–90°:
| two_theta | Rel. int. | index |
| --- | --- | --- |
| 27.7 | 89 | 4 1 1 |
| 29.5 | 100 | 0 2 2 |
| 29.9 | 82 | 0 4 0 |
| 30.4 | 51 | 5 1 0 |
| 31.9 | 66 | 3 1 2 |
| 35.1 | 60 | 4 3 1 |
| 37.2 | 28 | 5 3 0 |
| 57.3 | 23 | 8 2 2 |

Structural model:
a b c (Å): 15.1767 11.9620 7.0258
angles (deg): 90.00 90.00 90.00
Space group Ima2 (No. 46)
Unique sites:
La1 0.0521 0.2308 0.0000
La2 0.1440 0.7280 0.3405
La3 0.2500 0.2462 0.8210
Nd1 0.1295 0.5059 0.6720
Sm1 0.0000 0.0000 0.6481
Sm2 0.2500 0.5052 0.1204

***

Entry 6:
This entry pairs a crystal structure of PrDy4Ir4 with its computed X-ray powder pattern. Radiation: Cu Kα (weighted mean of Kα1 and Kα2). Structure: DFT lattice parameters and positions (GGA-PBE).

Largest 8 diffraction maxima, low angle first, 2θ = 10–90°:
| two_theta | Rel. int. | index |
| --- | --- | --- |
| 13.9 | 21 | 1 1 0 |
| 31.5 | 100 | 1 3 0 |
| 33.2 | 50 | 1 0 2 |
| 39.0 | 24 | 1 2 2 |
| 39.5 | 22 | 2 3 1 |
| 44.0 | 36 | 3 0 2 |
| 45.1 | 30 | 4 2 0 |
| 48.7 | 29 | 3 2 2 |

Structural model:
a b c (Å): 8.9948 8.9948 5.6509
angles (deg): 90.00 90.00 90.00
Space group P4_2/n (No. 86, origin choice 2)
Unique sites:
Pr1 0.2500 0.2500 0.2500
Dy1 0.0835 0.6551 0.1442
Ir1 0.0362 0.6144 0.6449

***

Entry 7:
This entry pairs a crystal structure of U2Zn16Cu with its computed X-ray powder pattern. Radiation: Cu Kα (weighted mean of Kα1 and Kα2). Structure: DFT lattice parameters and positions (GGA-PBE).

Largest 8 diffraction maxima, low angle first, 2θ = 10–90°:
| two_theta | Rel. int. | index |
| --- | --- | --- |
| 28.5 | 46 | 1 1 3 |
| 34.7 | 44 | 3 0 0 |
| 35.8 | 29 | 0 2 4 |
| 40.3 | 61 | 2 2 0 |
| 40.5 | 100 | 0 3 3 |
| 41.2 | 49 | 0 0 6 |
| 59.0 | 27 | 2 2 6 |
| 73.3 | 23 | 6 0 0 |

Structural model:
a b c (Å): 8.9517 8.9517 13.1403
angles (deg): 90.00 90.00 120.00
Space group R3m (No. 160, hexagonal axes)
Unique sites:
U1 0.0000 0.0000 0.0000
U2 0.0000 0.0000 0.3235
Zn1 0.0000 0.0000 0.5624
Zn2 0.9999 0.2931 0.6631
Zn3 0.0088 0.5044 0.8131
Zn4 0.1695 0.3389 0.8450
Zn5 0.1695 0.3390 0.4962
Cu1 0.0000 0.0000 0.7658

***

Entry 8:
This entry pairs a crystal structure of Tb2ThZn3 with its computed X-ray powder pattern. Radiation: Cu Kα (weighted mean of Kα1 and Kα2). Structure: DFT lattice parameters and positions (GGA-PBE).

Largest 8 diffraction maxima, low angle first, 2θ = 10–90°:
| two_theta | Rel. int. | index |
| --- | --- | --- |
| 24.5 | 12 | 0 0 3 |
| 24.7 | 22 | 1 0 0 |
| 35.1 | 100 | 1 0 3 |
| 35.3 | 50 | 1 1 0 |
| 50.8 | 18 | 2 0 0 |
| 62.9 | 18 | 1 1 6 |
| 63.2 | 36 | 2 1 3 |
| 85.3 | 16 | 3 1 0 |

Structural model:
a b c (Å): 3.5975 3.5975 10.8910
angles (deg): 90.00 90.00 90.00
Space group P4/mmm (No. 123)
Unique sites:
Tb1 0.0000 0.0000 0.1631
Th1 0.0000 0.0000 0.5000
Zn1 0.5000 0.5000 0.0000
Zn2 0.5000 0.5000 0.3215